Computed X-ray diffraction stick pattern
Compound: Nd15Dy2In2
Radiation: Cu Kα X-rays
Structure: a GGA-PBE-relaxed structure
Neutral-atom scattering factors, no anomalous dispersion.

The 10 most intense peaks (2θ from 15° to 90°), most intense first:
- 31.50 deg, intensity 1000
- 31.12 deg, intensity 706
- 35.44 deg, intensity 597
- 31.97 deg, intensity 546
- 26.29 deg, intensity 273
- 30.05 deg, intensity 261
- 27.60 deg, intensity 251
- 27.17 deg, intensity 216
- 56.98 deg, intensity 215
- 56.45 deg, intensity 212

```
Nd15Dy2In2
1.0
5.598 3.232 5.947
-5.598 3.232 5.947
0.000 -6.464 5.947
Nd Dy In
15 2 2
direct
0.000 0.000 0.500
0.000 0.292 0.708
0.000 0.500 0.000
0.000 0.708 0.292
0.160 0.622 0.622
0.292 0.000 0.708
0.292 0.708 0.000
0.378 0.378 0.840
0.378 0.840 0.378
0.500 0.000 0.000
0.622 0.160 0.622
0.622 0.622 0.160
0.708 0.000 0.292
0.708 0.292 0.000
0.840 0.378 0.378
0.308 0.308 0.308
0.692 0.692 0.692
0.095 0.095 0.095
0.905 0.905 0.905
```


Computed X-ray diffraction stick pattern
Compound: Nd5Dy2In
Radiation: Cu Kα X-rays
Structure: a GGA-PBE-relaxed structure
Neutral-atom scattering factors, no anomalous dispersion.

The 10 most intense peaks (2θ from 15° to 90°), most intense first:
- 30.64 deg, intensity 1000
- 35.85 deg, intensity 329
- 61.22 deg, intensity 277
- 50.89 deg, intensity 241
- 34.88 deg, intensity 176
- 59.93 deg, intensity 146
- 63.81 deg, intensity 122
- 51.61 deg, intensity 116
- 82.99 deg, intensity 116
- 84.12 deg, intensity 57

```
Nd5Dy2In
1.0
-2.505 2.505 10.288
2.505 -2.505 10.288
2.505 2.505 -10.288
Nd Dy In
5 2 1
direct
0.000 0.000 0.000
0.123 0.623 0.500
0.377 0.877 0.500
0.623 0.123 0.500
0.877 0.377 0.500
0.249 0.249 0.000
0.751 0.751 0.000
0.500 0.500 0.000
```


Computed X-ray diffraction stick pattern
Compound: PmNdDyIn
Radiation: Cu Kα X-rays
Structure: a GGA-PBE-relaxed structure
Neutral-atom scattering factors, no anomalous dispersion.

The 10 most intense peaks (2θ from 15° to 90°), most intense first:
- 31.46 deg, intensity 1000
- 36.97 deg, intensity 324
- 63.19 deg, intensity 268
- 52.18 deg, intensity 240
- 35.49 deg, intensity 181
- 61.22 deg, intensity 148
- 65.66 deg, intensity 119
- 85.45 deg, intensity 118
- 53.28 deg, intensity 113
- 86.81 deg, intensity 57

```
PmNdDyIn
1.0
-2.432 2.432 5.058
2.432 -2.432 5.058
2.432 2.432 -5.058
Pm Nd Dy In
1 1 1 1
direct
0.000 0.000 0.000
0.750 0.250 0.500
0.500 0.500 0.000
0.250 0.750 0.500
```


Computed X-ray diffraction stick pattern
Compound: DyNpInO6
Radiation: Cu Kα X-rays
Structure: a GGA-PBE-relaxed structure
Neutral-atom scattering factors, no anomalous dispersion.

The 10 most intense peaks (2θ from 15° to 90°), most intense first:
- 26.68 deg, intensity 1000
- 31.40 deg, intensity 705
- 51.47 deg, intensity 515
- 37.26 deg, intensity 344
- 41.66 deg, intensity 306
- 53.08 deg, intensity 301
- 19.55 deg, intensity 279
- 55.89 deg, intensity 228
- 79.41 deg, intensity 141
- 70.72 deg, intensity 129

```
DyNpInO6
1.0
5.699 0.000 0.000
-2.849 4.935 0.000
0.000 0.000 9.080
Dy Np In O
2 2 2 12
direct
0.333 0.667 0.250
0.667 0.333 0.750
0.333 0.667 0.750
0.667 0.333 0.250
0.000 0.000 0.000
0.000 0.000 0.500
0.026 0.351 0.630
0.026 0.675 0.870
0.325 0.351 0.870
0.325 0.974 0.630
0.351 0.026 0.130
0.351 0.325 0.370
0.649 0.675 0.630
0.649 0.974 0.870
0.675 0.026 0.370
0.675 0.649 0.130
0.974 0.325 0.130
0.974 0.649 0.370
```


Computed X-ray diffraction stick pattern
Compound: DyInTeO6
Radiation: Cu Kα X-rays
Structure: a GGA-PBE-relaxed structure
Neutral-atom scattering factors, no anomalous dispersion.

The 10 most intense peaks (2θ from 15° to 90°), most intense first:
- 26.52 deg, intensity 1000
- 33.14 deg, intensity 440
- 50.70 deg, intensity 411
- 42.94 deg, intensity 269
- 55.29 deg, intensity 257
- 59.21 deg, intensity 146
- 75.87 deg, intensity 101
- 81.64 deg, intensity 97
- 60.85 deg, intensity 94
- 80.69 deg, intensity 87

```
DyInTeO6
1.0
5.406 0.000 0.000
-2.703 4.682 0.000
0.000 0.000 9.659
Dy In Te O
2 2 2 12
direct
0.000 0.000 0.000
0.000 0.000 0.500
0.333 0.667 0.250
0.667 0.333 0.750
0.333 0.667 0.750
0.667 0.333 0.250
0.033 0.369 0.636
0.033 0.663 0.864
0.337 0.369 0.864
0.337 0.967 0.636
0.369 0.033 0.136
0.369 0.337 0.364
0.631 0.663 0.636
0.631 0.967 0.864
0.663 0.033 0.364
0.663 0.631 0.136
0.967 0.337 0.136
0.967 0.631 0.364
```


Computed X-ray diffraction stick pattern
Compound: DyIn2Pb
Radiation: Cu Kα X-rays
Structure: a GGA-PBE-relaxed structure
Neutral-atom scattering factors, no anomalous dispersion.

The 10 most intense peaks (2θ from 15° to 90°), most intense first:
- 31.05 deg, intensity 1000
- 35.90 deg, intensity 893
- 35.01 deg, intensity 890
- 33.91 deg, intensity 475
- 55.68 deg, intensity 403
- 31.75 deg, intensity 295
- 35.72 deg, intensity 289
- 66.33 deg, intensity 226
- 63.41 deg, intensity 221
- 59.04 deg, intensity 173

```
DyIn2Pb
1.0
-3.232 3.951 4.208
3.232 -3.951 4.208
3.232 3.951 -4.208
Dy In Pb
2 4 2
direct
0.305 0.055 0.250
0.695 0.945 0.750
0.197 0.000 0.697
0.197 0.500 0.197
0.803 0.000 0.303
0.803 0.500 0.803
0.296 0.546 0.750
0.704 0.454 0.250
```


Computed X-ray diffraction stick pattern
Compound: Dy2InPb2
Radiation: Cu Kα X-rays
Structure: a GGA-PBE-relaxed structure
Neutral-atom scattering factors, no anomalous dispersion.

The 10 most intense peaks (2θ from 15° to 90°), most intense first:
- 30.95 deg, intensity 1000
- 34.32 deg, intensity 634
- 31.20 deg, intensity 401
- 35.28 deg, intensity 361
- 32.42 deg, intensity 257
- 20.48 deg, intensity 203
- 48.09 deg, intensity 200
- 48.66 deg, intensity 168
- 47.61 deg, intensity 145
- 61.56 deg, intensity 145

```
Dy2InPb2
1.0
5.088 0.000 0.000
0.000 17.349 0.000
0.000 0.000 3.582
Dy In Pb
4 2 4
direct
0.001 0.181 0.000
0.499 0.681 0.000
0.501 0.319 0.000
0.999 0.819 0.000
0.000 0.000 0.000
0.500 0.500 0.000
0.001 0.363 0.500
0.499 0.863 0.500
0.501 0.137 0.500
0.999 0.637 0.500
```


Computed X-ray diffraction stick pattern
Compound: Dy5InPb4
Radiation: Cu Kα X-rays
Structure: a GGA-PBE-relaxed structure
Neutral-atom scattering factors, no anomalous dispersion.

The 10 most intense peaks (2θ from 15° to 90°), most intense first:
- 28.87 deg, intensity 1000
- 40.69 deg, intensity 544
- 41.28 deg, intensity 363
- 28.05 deg, intensity 290
- 50.65 deg, intensity 240
- 30.95 deg, intensity 191
- 33.61 deg, intensity 175
- 66.06 deg, intensity 169
- 67.74 deg, intensity 145
- 38.45 deg, intensity 126

```
Dy5InPb4
1.0
-4.890 4.890 3.181
4.890 -4.890 3.181
4.890 4.890 -3.181
Dy In Pb
5 1 4
direct
0.000 0.000 0.000
0.010 0.790 0.405
0.385 0.605 0.595
0.605 0.010 0.220
0.790 0.385 0.780
0.502 0.502 0.000
0.096 0.480 0.177
0.303 0.919 0.823
0.480 0.303 0.384
0.919 0.096 0.616
```